Entry 1:
Diffraction record for Ti2TlS4. The powder diffraction line list is computed, not measured: it uses a DFT-relaxed cell (GGA-PBE, Alexandria) and a wavelength of 1.5418 Å.
Lines closer than 0.1° are merged.

Largest 10 diffraction maxima, sorted by position, 10° ≤ 2θ ≤ 90°:
d = 5.582 Å, 2θ 15.88, I 95; d = 5.536 Å, 2θ 16.01, I 90; d = 3.973 Å, 2θ 22.38, I 89; d = 3.926 Å, 2θ 22.65, I 42; d = 3.369 Å, 2θ 26.46, I 57; d = 2.981 Å, 2θ 29.98, I 55; d = 2.889 Å, 2θ 30.96, I 39; d = 2.796 Å, 2θ 32.00, I 50; d = 2.391 Å, 2θ 37.61, I 86; d = 2.377 Å, 2θ 37.86, I 100

Crystal structure
abc: 8.618 8.618 5.935
angles: 109.43 109.43 23.08
Element x y z (fractional)
Ti  0.249  0.249  0.252
Ti  0.751  0.751  0.748
Tl  0.500  0.500  0.500
S  0.160  0.160  0.829
S  0.341  0.341  0.672
S  0.659  0.659  0.328
S  0.840  0.840  0.171

Entry 2:
Diffraction record for TiTlV4S8. The powder diffraction line list is computed, not measured: it uses a DFT-relaxed cell (GGA-PBE, Alexandria) and a wavelength of 1.5418 Å.
Lines closer than 0.1° are merged.

Largest 10 diffraction maxima, sorted by position, 10° ≤ 2θ ≤ 90°:
d = 4.299 Å, 2θ 20.66, I 64; d = 4.128 Å, 2θ 21.52, I 56; d = 2.963 Å, 2θ 30.16, I 41; d = 2.810 Å, 2θ 31.84, I 31; d = 2.702 Å, 2θ 33.15, I 51; d = 2.603 Å, 2θ 34.46, I 100; d = 2.499 Å, 2θ 35.94, I 49; d = 2.129 Å, 2θ 42.47, I 50; d = 2.118 Å, 2θ 42.70, I 72; d = 1.700 Å, 2θ 53.94, I 52

Crystal structure
abc: 9.085 9.085 8.527
angles: 104.22 104.22 20.86
Element x y z (fractional)
Ti  0.000  0.000  0.000
Tl  0.500  0.500  0.500
V  0.289  0.289  0.641
V  0.346  0.346  0.005
V  0.654  0.654  0.995
V  0.711  0.711  0.359
S  0.087  0.087  0.820
S  0.162  0.162  0.501
S  0.242  0.242  0.163
S  0.422  0.422  0.821
S  0.578  0.578  0.179
S  0.758  0.758  0.837
S  0.838  0.838  0.499
S  0.913  0.913  0.180

Entry 3:
Diffraction record for Y3TiTl4S8. The powder diffraction line list is computed, not measured: it uses a DFT-relaxed cell (GGA-PBE, Alexandria) and a wavelength of 1.5418 Å.
Lines closer than 0.1° are merged.

Largest 10 diffraction maxima, sorted by position, 10° ≤ 2θ ≤ 90°:
d = 7.522 Å, 2θ 11.77, I 21; d = 3.761 Å, 2θ 23.66, I 28; d = 3.372 Å, 2θ 26.43, I 20; d = 3.264 Å, 2θ 27.32, I 53; d = 2.918 Å, 2θ 30.64, I 100; d = 2.721 Å, 2θ 32.92, I 17; d = 2.173 Å, 2θ 41.55, I 38; d = 1.969 Å, 2θ 46.11, I 32; d = 1.744 Å, 2θ 52.46, I 21; d = 1.360 Å, 2θ 69.06, I 20

Crystal structure
abc: 8.789 8.789 8.789
angles: 53.23 53.23 53.23
Element x y z (fractional)
Y  0.000  0.500  0.500
Y  0.500  0.000  0.500
Y  0.500  0.500  0.000
Ti  0.000  0.000  0.000
Tl  0.000  0.000  0.500
Tl  0.000  0.500  0.000
Tl  0.500  0.000  0.000
Tl  0.500  0.500  0.500
S  0.221  0.221  0.751
S  0.221  0.751  0.221
S  0.249  0.779  0.779
S  0.266  0.266  0.266
S  0.734  0.734  0.734
S  0.751  0.221  0.221
S  0.779  0.249  0.779
S  0.779  0.779  0.249

Entry 4:
Diffraction record for Zr3TiTl3S8. The powder diffraction line list is computed, not measured: it uses a DFT-relaxed cell (GGA-PBE, Alexandria) and a wavelength of 1.5418 Å.
Lines closer than 0.1° are merged.

Largest 10 diffraction maxima, sorted by position, 10° ≤ 2θ ≤ 90°:
d = 6.059 Å, 2θ 14.62, I 13; d = 5.555 Å, 2θ 15.95, I 24; d = 4.018 Å, 2θ 22.12, I 34; d = 3.029 Å, 2θ 29.48, I 42; d = 2.778 Å, 2θ 32.23, I 100; d = 2.174 Å, 2θ 41.54, I 14; d = 2.169 Å, 2θ 41.64, I 27; d = 1.910 Å, 2θ 47.61, I 19; d = 1.807 Å, 2θ 50.51, I 29; d = 1.515 Å, 2θ 61.19, I 15

Crystal structure
abc: 7.229 7.229 9.066
angles: 113.64 113.64 59.97
Element x y z (fractional)
Zr  0.000  0.000  0.000
Zr  0.000  0.500  0.000
Zr  0.500  0.000  0.000
Ti  0.500  0.500  0.000
Tl  0.000  0.500  0.500
Tl  0.500  0.000  0.500
Tl  0.500  0.500  0.500
S  0.231  0.231  0.191
S  0.240  0.723  0.186
S  0.277  0.277  0.814
S  0.277  0.760  0.814
S  0.723  0.240  0.186
S  0.723  0.723  0.186
S  0.760  0.277  0.814
S  0.769  0.769  0.809